# K3Ac2DyO6
Calculated PXRD pattern, λ = 1.5418 Å (Cu Kα). Input: DFT lattice parameters and positions (GGA-PBE).
No peak broadening, texture or thermal motion is included.

Largest 6 diffraction maxima, by angle, 2θ = 15–90°:
- hkl 1 3 0, 27.96 deg, I = 52
- hkl 0 0 2, 28.17 deg, I = 33
- hkl 2 0 0, 29.14 deg, I = 85
- hkl 2 0 -2, 33.49 deg, I = 100
- hkl 2 0 2, 47.47 deg, I = 34
- hkl 3 3 -1, 48.71 deg, I = 34

Lattice parameters (Å, degrees): 6.4704 11.2239 6.6859 90.00 108.66 90.00
Space group C2/m (No. 12)
Symmetry-distinct sites (fractional):
K 0.0000 0.0000 0.0000 (multiplicity 2)
K 0.0000 0.3411 0.0000 (multiplicity 4)
Ac 0.0000 0.1670 0.5000 (multiplicity 4)
Dy 0.0000 0.5000 0.5000 (multiplicity 2)
O 0.2190 0.3444 0.6916 (multiplicity 8)
O 0.2489 0.5000 0.3097 (multiplicity 4)

---

# Ac12LaDy7
Calculated PXRD pattern, λ = 1.5418 Å (Cu Kα). Input: DFT lattice parameters and positions (GGA-PBE).
No peak broadening, texture or thermal motion is included.

Largest 6 diffraction maxima, by angle, 2θ = 15–90°:
- hkl 3 2 1, 25.37 deg, I = 100
- hkl 3 3 0, 25.94 deg, I = 51
- hkl 2 0 2, 27.99 deg, I = 56
- hkl 5 2 0, 31.30 deg, I = 93
- hkl 4 -1 2, 31.85 deg, I = 59
- hkl 0 6 3, 50.54 deg, I = 41

Lattice parameters (Å, degrees): 20.6057 20.6057 6.8265 90.00 90.00 120.00
Space group R-3 (No. 148, hexagonal axes)
Symmetry-distinct sites (fractional):
Ac 0.0280 0.4245 0.0643 (multiplicity 18)
Ac 0.1091 0.2205 0.8966 (multiplicity 18)
La 0.0000 0.0000 0.5000 (multiplicity 3)
Dy 0.0000 0.0000 0.0000 (multiplicity 3)
Dy 0.0526 0.8797 0.3900 (multiplicity 18)

---

# AcLa8Dy3
Calculated PXRD pattern, λ = 1.5418 Å (Cu Kα). Input: DFT lattice parameters and positions (GGA-PBE).
No peak broadening, texture or thermal motion is included.

Largest 6 diffraction maxima, by angle, 2θ = 15–90°:
- hkl 1 1 2, 21.36 deg, I = 24
- hkl 0 0 4, 30.31 deg, I = 75
- hkl 2 2 0, 30.47 deg, I = 26
- hkl 1 3 2, 30.60 deg, I = 100
- hkl 2 2 2, 34.14 deg, I = 35
- hkl 2 2 4, 43.51 deg, I = 25

Lattice parameters (Å, degrees): 6.7975 11.6042 11.8037 90.00 90.00 90.00
Space group Immm (No. 71)
Symmetry-distinct sites (fractional):
Ac 0.0000 0.0000 0.0000 (multiplicity 2)
La 0.0000 0.1753 0.2553 (multiplicity 8)
La 0.2197 0.2830 0.0000 (multiplicity 8)
Dy 0.0000 0.0000 0.5000 (multiplicity 2)
Dy 0.0000 0.5000 0.2179 (multiplicity 4)

---

# Ac4La3Dy
Calculated PXRD pattern, λ = 1.5418 Å (Cu Kα). Input: DFT lattice parameters and positions (GGA-PBE).
No peak broadening, texture or thermal motion is included.

Largest 6 diffraction maxima, by angle, 2θ = 15–90°:
- hkl 1 2 2, 28.45 deg, I = 100
- hkl 2 0 0, 32.74 deg, I = 18
- hkl 0 4 0, 32.85 deg, I = 18
- hkl 0 0 4, 33.30 deg, I = 16
- hkl 2 0 4, 47.43 deg, I = 24
- hkl 3 2 2, 55.83 deg, I = 16

Lattice parameters (Å, degrees): 5.4714 10.9061 10.7626 90.00 90.00 90.00
Space group Pmmn (No. 59, origin choice 2)
Symmetry-distinct sites (fractional):
Ac 0.2500 0.0015 0.1365 (multiplicity 4)
Ac 0.2500 0.2500 0.8655 (multiplicity 2)
Ac 0.2500 0.7500 0.8642 (multiplicity 2)
La 0.2500 0.0000 0.6134 (multiplicity 4)
La 0.2500 0.7500 0.3863 (multiplicity 2)
Dy 0.2500 0.2500 0.3834 (multiplicity 2)

---

# AcLa7Dy2
Calculated PXRD pattern, λ = 1.5418 Å (Cu Kα). Input: DFT lattice parameters and positions (GGA-PBE).
No peak broadening, texture or thermal motion is included.

Largest 6 diffraction maxima, by angle, 2θ = 15–90°:
- hkl 0 1 2, 29.36 deg, I = 100
- hkl 2 0 0, 29.50 deg, I = 33
- hkl 1 2 -1, 34.00 deg, I = 23
- hkl -2 1 2, 34.11 deg, I = 45
- hkl 3 1 -3, 49.05 deg, I = 24
- hkl 3 2 -1, 58.19 deg, I = 24

Lattice parameters (Å, degrees): 6.4228 6.4665 9.8403 109.01 102.65 99.59
Space group P-1 (No. 2)
Symmetry-distinct sites (fractional):
Ac 0.0000 0.0000 0.0000 (multiplicity 1)
La 0.0034 0.6008 0.2073 (multiplicity 2)
La 0.4920 0.5995 0.6950 (multiplicity 2)
La 0.4965 0.2040 0.8955 (multiplicity 2)
La 0.5000 0.0000 0.5000 (multiplicity 1)
Dy 0.0014 0.2004 0.4049 (multiplicity 2)

---

# Ac15LaDy4
Calculated PXRD pattern, λ = 1.5418 Å (Cu Kα). Input: DFT lattice parameters and positions (GGA-PBE).
No peak broadening, texture or thermal motion is included.

Largest 6 diffraction maxima, by angle, 2θ = 15–90°:
- hkl 1 1 5, 28.08 deg, I = 100
- hkl 2 0 0, 32.49 deg, I = 34
- hkl 0 0 10, 32.61 deg, I = 17
- hkl 2 2 0, 46.67 deg, I = 38
- hkl 3 1 5, 55.30 deg, I = 31
- hkl 1 1 15, 55.45 deg, I = 15

Lattice parameters (Å, degrees): 5.5112 5.5112 27.4621 90.00 90.00 90.00
Space group P4/mmm (No. 123)
Symmetry-distinct sites (fractional):
Ac 0.0000 0.0000 0.0000 (multiplicity 1)
Ac 0.0000 0.0000 0.2019 (multiplicity 2)
Ac 0.0000 0.0000 0.4005 (multiplicity 2)
Ac 0.0000 0.5000 0.1020 (multiplicity 4)
Ac 0.0000 0.5000 0.3010 (multiplicity 4)
Ac 0.0000 0.5000 0.5000 (multiplicity 2)
La 0.5000 0.5000 0.0000 (multiplicity 1)
Dy 0.5000 0.5000 0.2015 (multiplicity 2)
Dy 0.5000 0.5000 0.4004 (multiplicity 2)